Entry 1:
KDyN: calculated PXRD pattern (λ = 1.5418 Å (Cu Kα)), based on a crystal structure in Alexandria, relaxed with PBE.
Intensities are scaled so that the largest is 100.

Cell and atoms:
Cell: 19.7221 3.8928 4.7708 Å, 90.00 90.00 90.00°
Fractional coordinates of all 12 atoms:
K 0.0866 0.2500 0.2466
K 0.4134 0.7500 0.7466
K 0.5866 0.2500 0.2534
K 0.9134 0.7500 0.7534
Dy 0.2162 0.7500 0.7456
Dy 0.2838 0.2500 0.2456
Dy 0.7162 0.7500 0.7544
Dy 0.7838 0.2500 0.2544
N 0.2252 0.7500 0.2456
N 0.2748 0.2500 0.7456
N 0.7252 0.7500 0.2544
N 0.7748 0.2500 0.7544

Peak list (10 most intense, 15° ≤ 2θ ≤ 90°, in order of rising 2θ)
2theta	d (Å)	intensity
17.99	4.931	42
25.99	3.429	85
29.23	3.055	78
29.62	3.016	100
31.01	2.884	65
33.10	2.707	46
35.75	2.511	50
37.71	2.385	34
48.41	1.880	37
52.94	1.730	32


Entry 2:
K3DyNp3S8: calculated PXRD pattern (λ = 1.5418 Å (Cu Kα)), based on a crystal structure in Alexandria, relaxed with PBE.
Intensities are scaled so that the largest is 100.

Cell and atoms:
Cell: 6.9292 6.9292 7.6855 Å, 90.00 90.00 90.00°
Fractional coordinates of all 15 atoms:
K 0.0000 0.0000 0.0000
K 0.0000 0.5000 0.0000
K 0.5000 0.0000 0.0000
Dy 0.0000 0.0000 0.5000
Np 0.0000 0.5000 0.5000
Np 0.5000 0.0000 0.5000
Np 0.5000 0.5000 0.5000
S 0.2494 0.2494 0.3009
S 0.2494 0.2494 0.6991
S 0.2494 0.7506 0.3009
S 0.2494 0.7506 0.6991
S 0.7506 0.2494 0.3009
S 0.7506 0.2494 0.6991
S 0.7506 0.7506 0.3009
S 0.7506 0.7506 0.6991

Peak list (10 most intense, 15° ≤ 2θ ≤ 90°, in order of rising 2θ)
2theta	d (Å)	intensity
23.15	3.843	28
25.71	3.465	38
28.25	3.158	50
34.87	2.573	100
36.68	2.450	47
38.57	2.334	36
43.83	2.066	22
43.96	2.060	34
64.89	1.437	32
71.11	1.326	17


Entry 3:
KDy2PuO6: calculated PXRD pattern (λ = 1.5418 Å (Cu Kα)), based on a crystal structure in Alexandria, relaxed with PBE.
Intensities are scaled so that the largest is 100.

Cell and atoms:
Cell: 6.2562 6.2562 6.2562 Å, 56.65 56.65 56.65°
Fractional coordinates of all 10 atoms:
K 0.0000 0.0000 0.0000
Dy 0.2574 0.2574 0.2574
Dy 0.7742 0.7742 0.7742
Pu 0.4634 0.4634 0.4634
O 0.0779 0.5954 0.4447
O 0.1893 0.5272 0.8567
O 0.4447 0.0779 0.5954
O 0.5272 0.8567 0.1893
O 0.5954 0.4447 0.0779
O 0.8567 0.1893 0.5272

Peak list (10 most intense, 15° ≤ 2θ ≤ 90°, in order of rising 2θ)
2theta	d (Å)	intensity
16.94	5.234	25
18.15	4.886	41
20.65	4.301	32
28.61	3.120	81
30.10	2.969	100
34.74	2.582	25
42.01	2.151	33
46.25	1.963	46
52.54	1.742	36
53.46	1.714	28


Entry 4:
K2DyRe3O12: calculated PXRD pattern (λ = 1.5418 Å (Cu Kα)), based on a crystal structure in Alexandria, relaxed with PBE.
Intensities are scaled so that the largest is 100.

Cell and atoms:
Cell: 7.5332 7.5332 7.5332 Å, 58.85 58.85 58.85°
Fractional coordinates of all 18 atoms:
K 0.1288 0.1288 0.1288
K 0.8712 0.8712 0.8712
Dy 0.5000 0.5000 0.5000
Re 0.0000 0.5000 0.5000
Re 0.5000 0.0000 0.5000
Re 0.5000 0.5000 0.0000
O 0.1414 0.5774 0.5774
O 0.1981 0.1981 0.5709
O 0.1981 0.5709 0.1981
O 0.4226 0.4226 0.8586
O 0.4226 0.8586 0.4226
O 0.4291 0.8019 0.8019
O 0.5709 0.1981 0.1981
O 0.5774 0.1414 0.5774
O 0.5774 0.5774 0.1414
O 0.8019 0.4291 0.8019
O 0.8019 0.8019 0.4291
O 0.8586 0.4226 0.4226

Peak list (10 most intense, 15° ≤ 2θ ≤ 90°, in order of rising 2θ)
2theta	d (Å)	intensity
27.71	3.219	35
28.08	3.178	77
28.25	3.158	52
28.78	3.102	38
29.48	3.030	100
33.97	2.639	34
44.87	2.020	25
48.34	1.883	34
49.24	1.850	39
58.04	1.589	29


Entry 5:
K2DyRuO6: calculated PXRD pattern (λ = 1.5418 Å (Cu Kα)), based on a crystal structure in Alexandria, relaxed with PBE.
Intensities are scaled so that the largest is 100.

Cell and atoms:
Cell: 6.1994 6.1994 5.7458 Å, 90.00 90.00 120.00°
Fractional coordinates of all 10 atoms:
K 0.3333 0.6667 0.3922
K 0.6667 0.3333 0.6078
Dy 0.0000 0.0000 0.0000
Ru 0.0000 0.0000 0.5000
O 0.1413 0.2827 0.7057
O 0.1413 0.8587 0.7057
O 0.2827 0.1413 0.2943
O 0.7173 0.8587 0.7057
O 0.8587 0.1413 0.2943
O 0.8587 0.7173 0.2943

Peak list (10 most intense, 15° ≤ 2θ ≤ 90°, in order of rising 2θ)
2theta	d (Å)	intensity
16.51	5.369	100
22.67	3.923	9
28.80	3.100	39
35.44	2.533	24
36.96	2.432	10
42.92	2.107	24
44.66	2.029	10
46.29	1.961	20
55.44	1.657	18
82.25	1.172	11


Entry 6:
K2DySeO6: calculated PXRD pattern (λ = 1.5418 Å (Cu Kα)), based on a crystal structure in Alexandria, relaxed with PBE.
Intensities are scaled so that the largest is 100.

Cell and atoms:
Cell: 6.2698 6.2698 5.7277 Å, 90.00 90.00 120.00°
Fractional coordinates of all 10 atoms:
K 0.3333 0.6667 0.4035
K 0.6667 0.3333 0.5965
Dy 0.0000 0.0000 0.0000
Se 0.0000 0.0000 0.5000
O 0.1354 0.2708 0.6920
O 0.1354 0.8646 0.6920
O 0.2708 0.1354 0.3080
O 0.7292 0.8646 0.6920
O 0.8646 0.1354 0.3080
O 0.8646 0.7292 0.3080

Peak list (10 most intense, 15° ≤ 2θ ≤ 90°, in order of rising 2θ)
2theta	d (Å)	intensity
16.32	5.430	100
22.56	3.941	17
28.47	3.135	41
35.44	2.533	21
36.63	2.453	13
42.77	2.114	24
44.13	2.052	9
46.07	1.970	18
55.05	1.668	17
60.51	1.530	9


Entry 7:
KDySiO4: calculated PXRD pattern (λ = 1.5418 Å (Cu Kα)), based on a crystal structure in Alexandria, relaxed with PBE.
Intensities are scaled so that the largest is 100.

Cell and atoms:
Cell: 5.5993 5.6617 7.3264 Å, 90.00 105.99 90.00°
Fractional coordinates of all 14 atoms:
K 0.1863 0.2500 0.4253
K 0.8137 0.7500 0.5747
Dy 0.2858 0.2500 0.9555
Dy 0.7142 0.7500 0.0445
Si 0.2510 0.7500 0.1641
Si 0.7490 0.2500 0.8359
O 0.0654 0.7500 0.3013
O 0.0672 0.7500 0.9446
O 0.4457 0.5239 0.1840
O 0.4457 0.9761 0.1840
O 0.5543 0.0239 0.8160
O 0.5543 0.4761 0.8160
O 0.9328 0.2500 0.0554
O 0.9346 0.2500 0.6987

Peak list (10 most intense, 15° ≤ 2θ ≤ 90°, in order of rising 2θ)
2theta	d (Å)	intensity
22.80	3.901	100
28.28	3.156	31
29.88	2.990	37
30.62	2.920	43
31.61	2.831	54
34.12	2.628	34
35.97	2.497	46
37.67	2.388	48
39.46	2.284	35
46.59	1.950	47


Entry 8:
K4DyTa3O12: calculated PXRD pattern (λ = 1.5418 Å (Cu Kα)), based on a crystal structure in Alexandria, relaxed with PBE.
Intensities are scaled so that the largest is 100.

Cell and atoms:
Cell: 7.1863 7.1863 7.1863 Å, 109.47 109.47 109.47°
Fractional coordinates of all 20 atoms:
K 0.0000 0.0000 0.5000
K 0.0000 0.5000 0.0000
K 0.5000 0.0000 0.0000
K 0.5000 0.5000 0.5000
Dy 0.0000 0.0000 0.0000
Ta 0.0000 0.5000 0.5000
Ta 0.5000 0.0000 0.5000
Ta 0.5000 0.5000 0.0000
O 0.0000 0.2677 0.2677
O 0.0000 0.7323 0.7323
O 0.2500 0.5000 0.7500
O 0.2500 0.7500 0.5000
O 0.2677 0.0000 0.2677
O 0.2677 0.2677 0.0000
O 0.5000 0.2500 0.7500
O 0.5000 0.7500 0.2500
O 0.7323 0.0000 0.7323
O 0.7323 0.7323 0.0000
O 0.7500 0.2500 0.5000
O 0.7500 0.5000 0.2500

Peak list (10 most intense, 15° ≤ 2θ ≤ 90°, in order of rising 2θ)
2theta	d (Å)	intensity
21.42	4.149	68
30.47	2.934	100
37.55	2.395	7
43.63	2.074	32
49.10	1.855	31
54.15	1.694	40
63.41	1.467	19
67.76	1.383	15
71.97	1.312	17
88.09	1.109	21